Hf5H4: calculated PXRD pattern (λ = 1.5418 Å (Cu Kα)), based on DFT lattice parameters and positions (PBE).

The 10 most intense peaks (2θ from 10° to 90°), by angle:
| Position (°2θ) | d (Å) | I_rel |
| --- | --- | --- |
| 20.34 | 4.366 | 30.4 |
| 27.14 | 3.286 | 29.4 |
| 32.03 | 2.794 | 37.7 |
| 34.56 | 2.595 | 100.0 |
| 35.99 | 2.495 | 56.5 |
| 40.43 | 2.231 | 20.1 |
| 41.21 | 2.191 | 34.9 |
| 44.03 | 2.057 | 44.8 |
| 64.36 | 1.448 | 23.3 |
| 74.79 | 1.269 | 21.8 |

```
data_Hf5H4
_chemical_formula_sum 'Hf5 H4'
_cell_length_a 6.631
_cell_length_b 6.631
_cell_length_c 3.039
_cell_angle_alpha 90.00
_cell_angle_beta 90.00
_cell_angle_gamma 97.64
_symmetry_space_group_name_H-M 'P 1'
_symmetry_Int_Tables_number 1
loop_
_symmetry_equiv_pos_as_xyz
'x,y,z'
loop_
_atom_site_label
_atom_site_fract_x
_atom_site_fract_y
_atom_site_fract_z
Hf1 0.000 0.000 0.000
Hf2 0.269 0.731 0.500
Hf3 0.333 0.333 0.000
Hf4 0.667 0.667 0.000
Hf5 0.731 0.269 0.500
H1 0.040 0.234 0.500
H2 0.234 0.040 0.500
H3 0.766 0.960 0.500
H4 0.960 0.766 0.500
```

Hf8H: calculated PXRD pattern (λ = 1.5418 Å (Cu Kα)), based on DFT lattice parameters and positions (PBE).

The 10 most intense peaks (2θ from 10° to 90°), by angle:
| Position (°2θ) | d (Å) | I_rel |
| --- | --- | --- |
| 32.18 | 2.781 | 23.8 |
| 35.43 | 2.533 | 24.7 |
| 36.87 | 2.438 | 100.0 |
| 48.61 | 1.873 | 15.4 |
| 57.38 | 1.606 | 18.7 |
| 64.56 | 1.444 | 19.7 |
| 69.28 | 1.356 | 21.3 |
| 70.18 | 1.341 | 15.3 |
| 78.45 | 1.219 | 3.8 |
| 83.94 | 1.153 | 3.2 |

```
data_Hf8H
_chemical_formula_sum 'Hf8 H1'
_cell_length_a 6.423
_cell_length_b 6.423
_cell_length_c 5.067
_cell_angle_alpha 90.00
_cell_angle_beta 90.00
_cell_angle_gamma 120.00
_symmetry_space_group_name_H-M 'P 1'
_symmetry_Int_Tables_number 1
loop_
_symmetry_equiv_pos_as_xyz
'x,y,z'
loop_
_atom_site_label
_atom_site_fract_x
_atom_site_fract_y
_atom_site_fract_z
Hf1 0.170 0.340 0.248
Hf2 0.170 0.830 0.248
Hf3 0.333 0.667 0.748
Hf4 0.340 0.170 0.752
Hf5 0.660 0.830 0.248
Hf6 0.667 0.333 0.252
Hf7 0.830 0.170 0.752
Hf8 0.830 0.660 0.752
H1 0.000 0.000 0.500
```

Hf6HgH: calculated PXRD pattern (λ = 1.5418 Å (Cu Kα)), based on DFT lattice parameters and positions (PBE).

The 10 most intense peaks (2θ from 10° to 90°), by angle:
| Position (°2θ) | d (Å) | I_rel |
| --- | --- | --- |
| 33.93 | 2.642 | 100.0 |
| 34.29 | 2.615 | 92.9 |
| 35.11 | 2.556 | 87.4 |
| 36.31 | 2.474 | 90.4 |
| 38.95 | 2.312 | 58.1 |
| 40.33 | 2.236 | 58.0 |
| 42.28 | 2.138 | 51.9 |
| 55.10 | 1.667 | 17.0 |
| 59.44 | 1.555 | 35.5 |
| 60.90 | 1.521 | 18.0 |

```
data_Hf6HgH
_chemical_formula_sum 'Hf6 Hg1 H1'
_cell_length_a 5.450
_cell_length_b 5.502
_cell_length_c 5.575
_cell_angle_alpha 102.11
_cell_angle_beta 104.73
_cell_angle_gamma 97.18
_symmetry_space_group_name_H-M 'P 1'
_symmetry_Int_Tables_number 1
loop_
_symmetry_equiv_pos_as_xyz
'x,y,z'
loop_
_atom_site_label
_atom_site_fract_x
_atom_site_fract_y
_atom_site_fract_z
Hf1 0.087 0.261 0.174
Hf2 0.248 0.824 0.411
Hf3 0.309 0.396 0.745
Hf4 0.691 0.604 0.255
Hf5 0.752 0.176 0.589
Hf6 0.913 0.739 0.826
Hg1 0.500 0.000 0.000
H1 0.500 0.500 0.500
```

Hf3HgH: calculated PXRD pattern (λ = 1.5418 Å (Cu Kα)), based on DFT lattice parameters and positions (PBE).

The 10 most intense peaks (2θ from 10° to 90°), by angle:
| Position (°2θ) | d (Å) | I_rel |
| --- | --- | --- |
| 34.62 | 2.591 | 93.2 |
| 34.81 | 2.577 | 90.7 |
| 35.25 | 2.546 | 100.0 |
| 35.59 | 2.522 | 97.5 |
| 36.85 | 2.439 | 76.8 |
| 37.11 | 2.423 | 87.9 |
| 47.46 | 1.916 | 35.7 |
| 53.67 | 1.708 | 26.7 |
| 65.51 | 1.425 | 28.7 |
| 66.16 | 1.413 | 34.1 |

```
data_Hf3HgH
_chemical_formula_sum 'Hf6 Hg2 H2'
_cell_length_a 4.846
_cell_length_b 5.797
_cell_length_c 7.666
_cell_angle_alpha 69.19
_cell_angle_beta 89.85
_cell_angle_gamma 65.94
_symmetry_space_group_name_H-M 'P 1'
_symmetry_Int_Tables_number 1
loop_
_symmetry_equiv_pos_as_xyz
'x,y,z'
loop_
_atom_site_label
_atom_site_fract_x
_atom_site_fract_y
_atom_site_fract_z
Hf1 0.000 0.000 0.000
Hf2 0.007 0.961 0.459
Hf3 0.249 0.521 0.866
Hf4 0.550 0.963 0.746
Hf5 0.743 0.530 0.137
Hf6 0.775 0.470 0.604
Hg1 0.286 0.445 0.379
Hg2 0.480 0.033 0.222
H1 0.152 0.237 0.801
H2 0.395 0.739 0.650
```

Hf3HgH: calculated PXRD pattern (λ = 1.5418 Å (Cu Kα)), based on DFT lattice parameters and positions (PBE).

The 10 most intense peaks (2θ from 10° to 90°), by angle:
| Position (°2θ) | d (Å) | I_rel |
| --- | --- | --- |
| 31.73 | 2.820 | 78.0 |
| 32.98 | 2.716 | 100.0 |
| 36.49 | 2.463 | 78.8 |
| 37.42 | 2.403 | 68.8 |
| 37.68 | 2.387 | 68.1 |
| 39.16 | 2.300 | 71.8 |
| 43.88 | 2.063 | 31.5 |
| 48.85 | 1.864 | 25.6 |
| 61.62 | 1.505 | 40.2 |
| 67.98 | 1.379 | 25.4 |

```
data_Hf3HgH
_chemical_formula_sum 'Hf6 Hg2 H2'
_cell_length_a 8.400
_cell_length_b 8.400
_cell_length_c 7.225
_cell_angle_alpha 103.00
_cell_angle_beta 103.00
_cell_angle_gamma 21.97
_symmetry_space_group_name_H-M 'P 1'
_symmetry_Int_Tables_number 1
loop_
_symmetry_equiv_pos_as_xyz
'x,y,z'
loop_
_atom_site_label
_atom_site_fract_x
_atom_site_fract_y
_atom_site_fract_z
Hf1 0.032 0.032 0.211
Hf2 0.273 0.273 0.682
Hf3 0.406 0.406 0.430
Hf4 0.594 0.594 0.570
Hf5 0.727 0.727 0.318
Hf6 0.968 0.968 0.789
Hg1 0.156 0.156 0.950
Hg2 0.844 0.844 0.050
H1 0.395 0.395 0.704
H2 0.605 0.605 0.296
```

HfTi2HgH: calculated PXRD pattern (λ = 1.5418 Å (Cu Kα)), based on DFT lattice parameters and positions (PBE).

The 10 most intense peaks (2θ from 10° to 90°), by angle:
| Position (°2θ) | d (Å) | I_rel |
| --- | --- | --- |
| 20.74 | 4.283 | 35.5 |
| 29.95 | 2.983 | 30.6 |
| 36.71 | 2.448 | 100.0 |
| 42.20 | 2.142 | 17.1 |
| 42.87 | 2.110 | 32.7 |
| 48.08 | 1.893 | 17.4 |
| 52.60 | 1.740 | 13.7 |
| 61.72 | 1.503 | 21.9 |
| 73.54 | 1.288 | 13.0 |
| 74.48 | 1.274 | 25.1 |

```
data_HfTi2HgH
_chemical_formula_sum 'Hf1 Ti2 Hg1 H1'
_cell_length_a 4.219
_cell_length_b 4.219
_cell_length_c 4.283
_cell_angle_alpha 90.00
_cell_angle_beta 90.00
_cell_angle_gamma 90.00
_symmetry_space_group_name_H-M 'P 1'
_symmetry_Int_Tables_number 1
loop_
_symmetry_equiv_pos_as_xyz
'x,y,z'
loop_
_atom_site_label
_atom_site_fract_x
_atom_site_fract_y
_atom_site_fract_z
Hf1 0.000 0.000 0.000
Ti1 0.000 0.500 0.500
Ti2 0.500 0.000 0.500
Hg1 0.500 0.500 0.000
H1 0.000 0.000 0.500
```

Hf2H2I7: calculated PXRD pattern (λ = 1.5418 Å (Cu Kα)), based on DFT lattice parameters and positions (PBE).

The 10 most intense peaks (2θ from 10° to 90°), by angle:
| Position (°2θ) | d (Å) | I_rel |
| --- | --- | --- |
| 11.35 | 7.794 | 100.0 |
| 13.72 | 6.455 | 44.8 |
| 23.95 | 3.716 | 25.3 |
| 25.89 | 3.441 | 30.3 |
| 27.50 | 3.244 | 26.3 |
| 30.33 | 2.947 | 42.2 |
| 31.21 | 2.865 | 24.0 |
| 33.91 | 2.644 | 29.4 |
| 36.60 | 2.455 | 24.7 |
| 42.68 | 2.118 | 22.9 |

```
data_Hf2H2I7
_chemical_formula_sum 'Hf2 H2 I7'
_cell_length_a 7.720
_cell_length_b 7.720
_cell_length_c 7.799
_cell_angle_alpha 91.64
_cell_angle_beta 91.64
_cell_angle_gamma 66.41
_symmetry_space_group_name_H-M 'P 1'
_symmetry_Int_Tables_number 1
loop_
_symmetry_equiv_pos_as_xyz
'x,y,z'
loop_
_atom_site_label
_atom_site_fract_x
_atom_site_fract_y
_atom_site_fract_z
Hf1 0.241 0.241 0.041
Hf2 0.759 0.759 0.959
H1 0.209 0.791 0.500
H2 0.791 0.209 0.500
I1 0.000 0.000 0.000
I2 0.084 0.516 0.767
I3 0.426 0.426 0.211
I4 0.484 0.916 0.233
I5 0.516 0.084 0.767
I6 0.574 0.574 0.789
I7 0.916 0.484 0.233
```

Hf7In2H2: calculated PXRD pattern (λ = 1.5418 Å (Cu Kα)), based on DFT lattice parameters and positions (PBE).

The 10 most intense peaks (2θ from 10° to 90°), by angle:
| Position (°2θ) | d (Å) | I_rel |
| --- | --- | --- |
| 35.09 | 2.557 | 100.0 |
| 35.48 | 2.530 | 33.2 |
| 35.66 | 2.518 | 31.5 |
| 36.46 | 2.464 | 28.8 |
| 50.16 | 1.819 | 12.1 |
| 50.79 | 1.797 | 10.4 |
| 52.19 | 1.753 | 10.8 |
| 62.60 | 1.484 | 8.7 |
| 62.70 | 1.482 | 9.7 |
| 63.45 | 1.466 | 12.3 |

```
data_Hf7In2H2
_chemical_formula_sum 'Hf7 In2 H2'
_cell_length_a 5.901
_cell_length_b 5.904
_cell_length_c 6.033
_cell_angle_alpha 94.99
_cell_angle_beta 95.12
_cell_angle_gamma 97.75
_symmetry_space_group_name_H-M 'P 1'
_symmetry_Int_Tables_number 1
loop_
_symmetry_equiv_pos_as_xyz
'x,y,z'
loop_
_atom_site_label
_atom_site_fract_x
_atom_site_fract_y
_atom_site_fract_z
Hf1 0.000 0.000 0.000
Hf2 0.165 0.507 0.827
Hf3 0.333 0.334 0.333
Hf4 0.496 0.837 0.174
Hf5 0.504 0.163 0.826
Hf6 0.667 0.666 0.667
Hf7 0.835 0.493 0.173
In1 0.161 0.837 0.498
In2 0.839 0.163 0.502
H1 0.251 0.251 0.989
H2 0.749 0.749 0.011
```

Hf4In2H: calculated PXRD pattern (λ = 1.5418 Å (Cu Kα)), based on DFT lattice parameters and positions (PBE).

The 10 most intense peaks (2θ from 10° to 90°), by angle:
| Position (°2θ) | d (Å) | I_rel |
| --- | --- | --- |
| 31.18 | 2.868 | 40.8 |
| 33.47 | 2.677 | 50.6 |
| 33.81 | 2.651 | 100.0 |
| 35.13 | 2.554 | 88.0 |
| 36.68 | 2.450 | 53.7 |
| 36.95 | 2.433 | 40.6 |
| 37.47 | 2.400 | 73.8 |
| 38.20 | 2.356 | 53.4 |
| 45.15 | 2.008 | 24.9 |
| 64.45 | 1.446 | 26.0 |

```
data_Hf4In2H
_chemical_formula_sum 'Hf4 In2 H1'
_cell_length_a 5.610
_cell_length_b 3.075
_cell_length_c 8.201
_cell_angle_alpha 90.00
_cell_angle_beta 104.13
_cell_angle_gamma 90.00
_symmetry_space_group_name_H-M 'P 1'
_symmetry_Int_Tables_number 1
loop_
_symmetry_equiv_pos_as_xyz
'x,y,z'
loop_
_atom_site_label
_atom_site_fract_x
_atom_site_fract_y
_atom_site_fract_z
Hf1 0.000 0.000 0.000
Hf2 0.148 0.500 0.668
Hf3 0.659 0.500 0.662
Hf4 0.811 0.000 0.353
In1 0.292 0.500 0.326
In2 0.516 0.500 0.013
H1 0.930 0.000 0.750
```

Hf4InH2: calculated PXRD pattern (λ = 1.5418 Å (Cu Kα)), based on DFT lattice parameters and positions (PBE).

The 10 most intense peaks (2θ from 10° to 90°), by angle:
| Position (°2θ) | d (Å) | I_rel |
| --- | --- | --- |
| 30.71 | 2.911 | 39.9 |
| 34.21 | 2.621 | 79.6 |
| 34.77 | 2.580 | 67.3 |
| 34.93 | 2.569 | 70.6 |
| 35.34 | 2.540 | 70.4 |
| 35.74 | 2.512 | 63.8 |
| 37.23 | 2.415 | 81.6 |
| 37.66 | 2.389 | 56.9 |
| 37.96 | 2.370 | 100.0 |
| 40.05 | 2.252 | 38.6 |

```
data_Hf4InH2
_chemical_formula_sum 'Hf8 In2 H4'
_cell_length_a 5.605
_cell_length_b 5.915
_cell_length_c 7.915
_cell_angle_alpha 101.94
_cell_angle_beta 109.37
_cell_angle_gamma 97.79
_symmetry_space_group_name_H-M 'P 1'
_symmetry_Int_Tables_number 1
loop_
_symmetry_equiv_pos_as_xyz
'x,y,z'
loop_
_atom_site_label
_atom_site_fract_x
_atom_site_fract_y
_atom_site_fract_z
Hf1 0.000 0.000 0.000
Hf2 0.003 0.160 0.413
Hf3 0.253 0.672 0.297
Hf4 0.496 0.552 0.688
Hf5 0.513 0.874 0.046
Hf6 0.562 0.040 0.672
Hf7 0.683 0.404 0.079
Hf8 0.931 0.696 0.542
In1 0.077 0.443 0.856
In2 0.483 0.242 0.344
H1 0.027 0.320 0.197
H2 0.326 0.824 0.755
H3 0.730 0.678 0.959
H4 0.877 0.023 0.591
```

Hf3InH: calculated PXRD pattern (λ = 1.5418 Å (Cu Kα)), based on DFT lattice parameters and positions (PBE).

The 10 most intense peaks (2θ from 10° to 90°), by angle:
| Position (°2θ) | d (Å) | I_rel |
| --- | --- | --- |
| 34.46 | 2.603 | 12.7 |
| 34.60 | 2.593 | 17.0 |
| 35.13 | 2.555 | 34.1 |
| 35.35 | 2.539 | 87.1 |
| 35.98 | 2.496 | 100.0 |
| 36.08 | 2.489 | 32.7 |
| 38.05 | 2.365 | 11.9 |
| 50.19 | 1.818 | 12.5 |
| 63.82 | 1.458 | 17.8 |
| 63.97 | 1.455 | 14.5 |

```
data_Hf3InH
_chemical_formula_sum 'Hf6 In2 H2'
_cell_length_a 4.998
_cell_length_b 5.954
_cell_length_c 6.220
_cell_angle_alpha 102.11
_cell_angle_beta 90.02
_cell_angle_gamma 91.09
_symmetry_space_group_name_H-M 'P 1'
_symmetry_Int_Tables_number 1
loop_
_symmetry_equiv_pos_as_xyz
'x,y,z'
loop_
_atom_site_label
_atom_site_fract_x
_atom_site_fract_y
_atom_site_fract_z
Hf1 0.223 0.151 0.420
Hf2 0.238 0.142 0.926
Hf3 0.239 0.633 0.256
Hf4 0.761 0.367 0.744
Hf5 0.762 0.858 0.074
Hf6 0.777 0.849 0.580
In1 0.266 0.637 0.767
In2 0.734 0.363 0.233
H1 0.496 0.108 0.661
H2 0.504 0.892 0.339
```

Hf3InH: calculated PXRD pattern (λ = 1.5418 Å (Cu Kα)), based on DFT lattice parameters and positions (PBE).

The 10 most intense peaks (2θ from 10° to 90°), by angle:
| Position (°2θ) | d (Å) | I_rel |
| --- | --- | --- |
| 34.77 | 2.580 | 100.0 |
| 35.23 | 2.548 | 97.0 |
| 37.68 | 2.387 | 81.0 |
| 46.06 | 1.970 | 23.2 |
| 53.70 | 1.707 | 14.3 |
| 55.00 | 1.670 | 13.6 |
| 60.97 | 1.520 | 39.8 |
| 65.87 | 1.418 | 30.6 |
| 66.73 | 1.402 | 30.1 |
| 73.39 | 1.290 | 12.2 |

```
data_Hf3InH
_chemical_formula_sum 'Hf6 In2 H2'
_cell_length_a 5.165
_cell_length_b 5.165
_cell_length_c 6.827
_cell_angle_alpha 90.00
_cell_angle_beta 90.00
_cell_angle_gamma 99.45
_symmetry_space_group_name_H-M 'P 1'
_symmetry_Int_Tables_number 1
loop_
_symmetry_equiv_pos_as_xyz
'x,y,z'
loop_
_atom_site_label
_atom_site_fract_x
_atom_site_fract_y
_atom_site_fract_z
Hf1 0.000 0.000 0.000
Hf2 0.003 0.503 0.740
Hf3 0.497 0.997 0.740
Hf4 0.500 0.500 0.000
Hf5 0.503 0.003 0.260
Hf6 0.997 0.497 0.260
In1 0.000 0.000 0.500
In2 0.500 0.500 0.500
H1 0.250 0.750 0.103
H2 0.750 0.250 0.897
```

> Which formula does entry 3 have?

Hf6HgH